Computed X-ray powder pattern
Compound: Ba3FeSn2O9
Radiation: Cu Ka
Structure: a structure optimized by DFT (GGA+U)
Peak positions follow from Bragg's law for the DFT cell and can differ from measured ones.

Structure:
a b c (Å): 5.879 5.879 7.215
angles (deg): 90.00 90.00 120.00
Atoms (fractional coordinates):
Ba 0.000 0.000 0.000
Ba 0.333 0.667 0.662
Ba 0.667 0.333 0.338
Fe 0.000 0.000 0.500
Sn 0.333 0.667 0.170
Sn 0.667 0.333 0.830
O 0.000 0.500 0.000
O 0.165 0.330 0.336
O 0.165 0.835 0.336
O 0.330 0.165 0.664
O 0.500 0.000 0.000
O 0.500 0.500 0.000
O 0.670 0.835 0.336
O 0.835 0.165 0.664
O 0.835 0.670 0.664

Largest 12 diffraction maxima, low angle first, 10° ≤ 2θ ≤ 90°:
| 2theta | I/Imax | h k l |
| --- | --- | --- |
| 21.36 | 2 | 0 1 1 |
| 30.39 | 100 | 1 1 0 |
| 37.45 | 6 | 0 2 1 |
| 43.51 | 31 | 2 0 2 |
| 53.98 | 31 | 1 2 2 |
| 54.04 | 10 | 3 0 0 |
| 63.23 | 19 | 2 2 0 |
| 71.76 | 18 | 3 1 2 |
| 79.75 | 2 | 0 0 6 |
| 79.92 | 5 | 0 4 2 |
| 87.69 | 6 | 1 1 6 |
| 87.84 | 17 | 4 1 0 |